Diffraction record for LiY5S8. The powder diffraction line list is calculated, not measured: it uses a cell relaxed with PBE and Cu Kα (λ = 1.5418 Å).
Kinematic intensities with the Lorentz-polarization factor, no thermal factor.

Atomic structure:
```
data_LiY5S8
_chemical_formula_sum 'Li2 Y10 S16'
_cell_length_a 8.298
_cell_length_b 8.298
_cell_length_c 8.366
_cell_angle_alpha 90.00
_cell_angle_beta 90.00
_cell_angle_gamma 90.00
_space_group_name_H-M_alt 'I -4'
_space_group_IT_number 82
_space_group_name_Hall 'I -4'
loop_
_atom_site_label
_atom_site_type_symbol
_atom_site_fract_x
_atom_site_fract_y
_atom_site_fract_z
Li1 Li 0.000 0.000 0.000
Y1 Y 0.000 0.500 0.750
Y2 Y 0.131 0.746 0.371
S1 S 0.070 0.683 0.052
S2 S 0.071 0.816 0.685
```

The 10 most intense peaks (10 to 90 degrees two-theta), sorted by position:
2θ/deg	intensity	h k l
15.1	30	1 1 0
26.2	29	1 1 2
26.3	45	2 1 1
33.9	39	1 0 3
34.2	100	1 3 0
40.5	40	1 2 3
40.6	46	3 2 1
49.0	26	4 0 2
51.5	19	2 3 3
69.8	15	3 5 2